No. 1
For Zr5ScP6, the PBE geometry in Alexandria gives the simulated PXRD pattern in this record (Cu Kα, 1.54184 Å).
Peak positions follow from Bragg's law for the DFT cell and can differ from measured ones.

Atomic structure:
a b c (Å): 6.4895 11.2361 6.4917
angles (deg): 90.00 109.53 90.00
Space group C2/m (No. 12)
Symmetry-distinct sites (fractional):
Zr1 0.0000 0.0000 0.0000 x2
Zr2 0.0000 0.1671 0.5000 x4
Zr3 0.0000 0.3335 0.0000 x4
Sc1 0.0000 0.5000 0.5000 x2
P1 0.2487 0.3345 0.7494 x8
P2 0.2486 0.5000 0.2523 x4

Top 6 peaks for 10° ≤ 2θ ≤ 80°, sorted by position:
| hkl | d/Å | Rel. int. |
| --- | --- | --- |
| 2 0 0 | 3.059 | 43 |
| 1 3 1 | 2.649 | 100 |
| 2 0 2 | 1.873 | 68 |
| 3 3 1 | 1.597 | 12 |
| 4 0 0 | 1.529 | 23 |
| 2 6 2 | 1.325 | 11 |

=====

No. 2
For P4Se3, the PBE geometry in Alexandria gives the simulated PXRD pattern in this record (Cu Kα, 1.54184 Å).
Peak positions follow from Bragg's law for the DFT cell and can differ from measured ones.

Atomic structure:
a b c (Å): 12.1620 10.5700 14.8397
angles (deg): 90.00 90.00 90.00
Space group Pnma (No. 62)
Symmetry-distinct sites (fractional):
P1 0.0249 0.2500 0.0326 x4
P2 0.0377 0.7500 0.4961 x4
P3 0.0748 0.6440 0.7610 x8
P4 0.1036 0.7500 0.2682 x4
P5 0.2097 0.7500 0.8319 x4
P6 0.2344 0.6438 0.3438 x8
Se1 0.0459 0.0862 0.1306 x8
Se2 0.0457 0.2500 0.6411 x4
Se3 0.1562 0.5858 0.4757 x8
Se4 0.1620 0.7500 0.9791 x4

Top 6 peaks for 10° ≤ 2θ ≤ 80°, sorted by position:
| hkl | d/Å | Rel. int. |
| --- | --- | --- |
| 1 1 2 | 5.433 | 100 |
| 0 2 0 | 5.276 | 42 |
| 1 3 1 | 3.299 | 41 |
| 3 2 1 | 3.144 | 27 |
| 2 1 4 | 3.034 | 37 |
| 5 3 3 | 1.855 | 30 |

=====

No. 3
For P5Se4, the PBE geometry in Alexandria gives the simulated PXRD pattern in this record (Cu Kα, 1.54184 Å).
Peak positions follow from Bragg's law for the DFT cell and can differ from measured ones.

Atomic structure:
a b c (Å): 7.6730 7.6730 6.5208
angles (deg): 90.00 90.00 120.00
Space group P6_3/mcm (No. 193)
Symmetry-distinct sites (fractional):
P1 0.0000 0.2552 0.2500 x6
P2 0.3333 0.6667 0.0000 x4
Se1 0.0000 0.0000 0.0000 x2
Se2 0.0000 0.3953 0.7500 x6

Top 6 peaks for 10° ≤ 2θ ≤ 80°, sorted by position:
| hkl | d/Å | Rel. int. |
| --- | --- | --- |
| 2 0 0 | 3.323 | 27 |
| 1 1 1 | 3.307 | 34 |
| 1 1 2 | 2.484 | 100 |
| 2 1 1 | 2.344 | 56 |
| 3 0 0 | 2.215 | 46 |
| 3 1 1 | 1.774 | 25 |

=====

No. 4
For PSe, the PBE geometry in Alexandria gives the simulated PXRD pattern in this record (Cu Kα, 1.54184 Å).
Peak positions follow from Bragg's law for the DFT cell and can differ from measured ones.

Atomic structure:
a b c (Å): 12.4121 7.4266 13.0087
angles (deg): 90.00 116.96 90.00
Space group P2_1/c (No. 14)
Symmetry-distinct sites (fractional):
P1 0.1710 0.2069 0.0740 x4
P2 0.2343 0.0034 0.3307 x4
P3 0.3122 0.1176 0.7012 x4
P4 0.3238 0.6744 0.7567 x4
Se1 0.0707 0.1093 0.1729 x4
Se2 0.1791 0.6014 0.1985 x4
Se3 0.2965 0.5280 0.5900 x4
Se4 0.3726 0.2309 0.3734 x4

Top 6 peaks for 10° ≤ 2θ ≤ 80°, sorted by position:
| hkl | d/Å | Rel. int. |
| --- | --- | --- |
| 0 0 2 | 5.798 | 76 |
| 2 0 0 | 5.532 | 100 |
| 2 0 -2 | 5.411 | 94 |
| 1 1 2 | 3.775 | 50 |
| 2 1 -3 | 3.643 | 45 |
| 1 2 1 | 3.243 | 72 |

=====

No. 5
For P4Se5, the PBE geometry in Alexandria gives the simulated PXRD pattern in this record (Cu Kα, 1.54184 Å).
Peak positions follow from Bragg's law for the DFT cell and can differ from measured ones.

Atomic structure:
a b c (Å): 14.2232 12.0286 6.8438
angles (deg): 90.00 90.00 90.00
Space group Pna2_1 (No. 33)
Symmetry-distinct sites (fractional):
P1 0.0931 0.0085 0.0000 x4
P2 0.1149 0.1850 0.9005 x4
P3 0.1405 0.0637 0.3024 x4
P4 0.1685 0.5441 0.4539 x4
Se1 0.0286 0.2630 0.6863 x4
Se2 0.0851 0.2389 0.2181 x4
Se3 0.1983 0.5602 0.7801 x4
Se4 0.2146 0.9179 0.8705 x4
Se5 0.2292 0.7030 0.3189 x4

Top 6 peaks for 10° ≤ 2θ ≤ 80°, sorted by position:
| hkl | d/Å | Rel. int. |
| --- | --- | --- |
| 1 1 1 | 5.488 | 59 |
| 2 2 0 | 4.592 | 48 |
| 0 3 1 | 3.460 | 52 |
| 0 0 2 | 3.415 | 100 |
| 2 3 1 | 3.111 | 43 |
| 2 0 2 | 3.083 | 48 |

=====

No. 6
For PSe, the PBE geometry in Alexandria gives the simulated PXRD pattern in this record (Cu Kα, 1.54184 Å).
Peak positions follow from Bragg's law for the DFT cell and can differ from measured ones.

Atomic structure:
a b c (Å): 4.0585 5.8408 5.9494
angles (deg): 60.65 81.72 73.15
Space group P-1 (No. 2)
Symmetry-distinct sites (fractional):
P1 0.2296 0.3413 0.9999 x2
Se1 0.4993 0.3371 0.3261 x2

Top 6 peaks for 10° ≤ 2θ ≤ 80°, sorted by position:
| hkl | d/Å | Rel. int. |
| --- | --- | --- |
| 0 1 0 | 4.921 | 100 |
| 1 0 0 | 3.884 | 45 |
| 0 1 2 | 2.940 | 30 |
| 1 -1 0 | 2.729 | 26 |
| 1 1 2 | 2.538 | 58 |
| 1 2 0 | 2.370 | 16 |

=====

No. 7
For SiPSe4, the PBE geometry in Alexandria gives the simulated PXRD pattern in this record (Cu Kα, 1.54184 Å).
Peak positions follow from Bragg's law for the DFT cell and can differ from measured ones.

Atomic structure:
a b c (Å): 7.9225 7.9225 7.9225
angles (deg): 90.00 90.00 90.00
Space group F-43m (No. 216)
Symmetry-distinct sites (fractional):
Si1 0.0000 0.0000 0.0000 x4
P1 0.2500 0.2500 0.7500 x4
Se1 0.1246 0.1246 0.3754 x16

Top 6 peaks for 10° ≤ 2θ ≤ 80°, sorted by position:
| hkl | d/Å | Rel. int. |
| --- | --- | --- |
| 1 1 1 | 4.574 | 60 |
| 3 1 1 | 2.389 | 100 |
| 2 2 2 | 2.287 | 74 |
| 4 0 0 | 1.981 | 24 |
| 5 1 1 | 1.525 | 32 |
| 4 4 0 | 1.401 | 32 |

=====

No. 8
For Tb6Si2PSe3, the PBE geometry in Alexandria gives the simulated PXRD pattern in this record (Cu Kα, 1.54184 Å).
Peak positions follow from Bragg's law for the DFT cell and can differ from measured ones.

Atomic structure:
a b c (Å): 17.9762 4.1023 8.2648
angles (deg): 90.00 103.75 90.00
Space group C2/m (No. 12)
Symmetry-distinct sites (fractional):
Tb1 0.0042 0.0000 0.2394 x4
Tb2 0.1626 0.5000 0.0913 x4
Tb3 0.1691 0.5000 0.5756 x4
Si1 0.1663 0.0000 0.3323 x4
P1 0.0000 0.5000 0.0000 x2
Se1 0.0000 0.5000 0.5000 x2
Se2 0.1657 0.0000 0.8342 x4

Top 6 peaks for 10° ≤ 2θ ≤ 80°, sorted by position:
| hkl | d/Å | Rel. int. |
| --- | --- | --- |
| 3 1 0 | 3.354 | 34 |
| 6 0 0 | 2.911 | 100 |
| 7 1 -2 | 2.065 | 36 |
| 5 1 2 | 2.052 | 37 |
| 6 2 0 | 1.677 | 19 |
| 4 2 4 | 1.299 | 17 |